(1)
Theoretical X-ray diffraction stick pattern
Compound: NdMg3Sn2
Radiation: Cu Kα, 1.54184 Å
Structure: a DFT-relaxed cell (PBE, Alexandria)
Lines closer than 0.1° are merged.

The 10 most intense peaks (2θ from 10° to 80°), by angle:
| 2θ (°) | Rel. int. |
| --- | --- |
| 11.82 | 47.7 |
| 23.69 | 19.4 |
| 24.69 | 13.4 |
| 25.83 | 46.2 |
| 28.97 | 23.3 |
| 31.88 | 100.0 |
| 33.30 | 37.6 |
| 38.85 | 62.6 |
| 42.15 | 21.3 |
| 58.64 | 19.3 |

Structure:
```
NdMg3Sn2
1.0
8.8277 -2.3184 0.0000
8.8277 2.3184 0.0000
-4.1202 0.0000 7.5123
Nd Mg Sn
2 6 4
Direct
0.1325 0.1325 0.2004
0.8675 0.8675 0.7996
0.0561 0.0561 0.7060
0.3043 0.3043 0.0846
0.3927 0.3927 0.4934
0.6073 0.6073 0.5066
0.6957 0.6957 0.9154
0.9439 0.9439 0.2940
0.2200 0.2200 0.6775
0.4796 0.4796 0.1432
0.5204 0.5204 0.8568
0.7800 0.7800 0.3225
```

***

(2)
Theoretical X-ray diffraction stick pattern
Compound: NdMgTlSn
Radiation: Cu Kα, 1.54184 Å
Structure: a DFT-relaxed cell (PBE, Alexandria)
Lines closer than 0.1° are merged.

The 10 most intense peaks (2θ from 10° to 80°), by angle:
| 2θ (°) | Rel. int. |
| --- | --- |
| 18.67 | 15.9 |
| 26.77 | 13.5 |
| 32.84 | 100.0 |
| 36.33 | 19.1 |
| 37.86 | 17.1 |
| 40.04 | 14.6 |
| 53.48 | 12.8 |
| 63.17 | 15.5 |
| 65.22 | 14.2 |
| 68.20 | 12.4 |

Structure:
```
NdMgTlSn
1.0
4.5036 0.0000 0.0000
0.0000 4.7523 0.0000
0.0000 0.0000 4.9455
Nd Mg Tl Sn
1 1 1 1
Direct
0.0000 0.0000 0.0000
0.0000 0.5000 0.5000
0.5000 0.0000 0.5000
0.5000 0.5000 0.0000
```

***

(3)
Theoretical X-ray diffraction stick pattern
Compound: SrNdMg2Tl4
Radiation: Cu Kα, 1.54184 Å
Structure: a DFT-relaxed cell (PBE, Alexandria)
Lines closer than 0.1° are merged.

The 10 most intense peaks (2θ from 10° to 80°), by angle:
| 2θ (°) | Rel. int. |
| --- | --- |
| 23.24 | 52.7 |
| 32.86 | 100.0 |
| 33.35 | 96.8 |
| 41.05 | 12.5 |
| 47.52 | 36.1 |
| 58.35 | 19.3 |
| 59.29 | 37.5 |
| 59.61 | 18.6 |
| 78.73 | 16.3 |
| 79.56 | 16.2 |

Structure:
```
SrNdMg2Tl4
1.0
2.6865 1.5510 8.9687
-2.6865 1.5510 8.9687
0.0000 -3.1021 8.9687
Sr Nd Mg Tl
1 1 2 4
Direct
0.0000 0.0000 0.0000
0.5000 0.5000 0.5000
0.2485 0.2485 0.2485
0.7515 0.7515 0.7515
0.1249 0.1249 0.1249
0.3776 0.3776 0.3776
0.6224 0.6224 0.6224
0.8751 0.8751 0.8751
```

***

(4)
Theoretical X-ray diffraction stick pattern
Compound: TbNdMg
Radiation: Cu Kα, 1.54184 Å
Structure: a DFT-relaxed cell (PBE, Alexandria)
Lines closer than 0.1° are merged.

The 10 most intense peaks (2θ from 10° to 80°), by angle:
| 2θ (°) | Rel. int. |
| --- | --- |
| 17.93 | 33.4 |
| 23.01 | 27.5 |
| 29.35 | 37.0 |
| 30.11 | 22.3 |
| 31.90 | 49.1 |
| 33.03 | 75.1 |
| 33.50 | 100.0 |
| 43.89 | 24.7 |
| 57.87 | 20.8 |
| 61.77 | 20.4 |

Structure:
```
TbNdMg
1.0
6.1965 0.0000 0.0000
0.0000 5.6110 0.0000
0.0000 0.0000 10.4799
Tb Nd Mg
4 4 4
Direct
0.1666 0.2500 0.0164
0.3334 0.7500 0.5164
0.6666 0.2500 0.4836
0.8334 0.7500 0.9836
0.1265 0.2500 0.6853
0.3735 0.7500 0.1853
0.6265 0.2500 0.8147
0.8735 0.7500 0.3147
0.1823 0.2500 0.3436
0.3177 0.7500 0.8436
0.6823 0.2500 0.1564
0.8177 0.7500 0.6564
```

***

(5)
Theoretical X-ray diffraction stick pattern
Compound: Tb3NdMg4
Radiation: Cu Kα, 1.54184 Å
Structure: a DFT-relaxed cell (PBE, Alexandria)
Lines closer than 0.1° are merged.

The 9 most intense peaks (2θ from 10° to 80°), by angle:
| 2θ (°) | Rel. int. |
| --- | --- |
| 23.28 | 61.9 |
| 33.16 | 100.0 |
| 40.92 | 19.2 |
| 47.61 | 18.1 |
| 53.65 | 26.4 |
| 59.25 | 37.6 |
| 69.61 | 11.5 |
| 74.51 | 12.6 |
| 79.31 | 16.0 |

Structure:
```
Tb3NdMg4
1.0
10.8071 0.0000 0.0000
0.0000 7.6389 0.0000
0.0000 0.0000 5.4031
Tb Nd Mg
6 2 8
Direct
0.0000 0.0000 0.0000
0.2500 0.0000 0.4992
0.2500 0.5000 0.4992
0.5000 0.0000 0.0000
0.7500 0.0000 0.5008
0.7500 0.5000 0.5008
0.0000 0.5000 0.0000
0.5000 0.5000 0.0000
0.0000 0.2457 0.5000
0.0000 0.7543 0.5000
0.2500 0.2457 0.9988
0.2500 0.7543 0.9988
0.5000 0.2457 0.5000
0.5000 0.7543 0.5000
0.7500 0.2457 0.0012
0.7500 0.7543 0.0012
```

***

(6)
Theoretical X-ray diffraction stick pattern
Compound: Tb4Nd8Mg
Radiation: Cu Kα, 1.54184 Å
Structure: a DFT-relaxed cell (PBE, Alexandria)
Lines closer than 0.1° are merged.

The 10 most intense peaks (2θ from 10° to 80°), by angle:
| 2θ (°) | Rel. int. |
| --- | --- |
| 26.71 | 32.8 |
| 28.73 | 22.0 |
| 31.00 | 100.0 |
| 32.30 | 40.3 |
| 37.45 | 40.8 |
| 49.04 | 21.8 |
| 50.60 | 28.8 |
| 58.12 | 25.7 |
| 60.54 | 14.6 |
| 63.58 | 9.6 |

Structure:
```
Tb4Nd8Mg
1.0
3.6076 2.0828 10.0131
-3.6076 2.0828 10.0131
0.0000 -4.1657 10.0131
Tb Nd Mg
4 8 1
Direct
0.0000 0.0000 0.0000
0.0000 0.5000 0.5000
0.5000 0.0000 0.5000
0.5000 0.5000 0.0000
0.2186 0.2186 0.2186
0.2270 0.7453 0.7453
0.2547 0.2547 0.7730
0.2547 0.7730 0.2547
0.7453 0.2270 0.7453
0.7453 0.7453 0.2270
0.7730 0.2547 0.2547
0.7814 0.7814 0.7814
0.5000 0.5000 0.5000
```

***

(7)
Theoretical X-ray diffraction stick pattern
Compound: Tb6Nd12Mg
Radiation: Cu Kα, 1.54184 Å
Structure: a DFT-relaxed cell (PBE, Alexandria)
Lines closer than 0.1° are merged.

The 10 most intense peaks (2θ from 10° to 80°), by angle:
| 2θ (°) | Rel. int. |
| --- | --- |
| 24.67 | 24.1 |
| 28.38 | 34.7 |
| 31.15 | 99.8 |
| 31.32 | 56.8 |
| 32.01 | 100.0 |
| 34.20 | 23.5 |
| 34.84 | 19.9 |
| 48.06 | 28.8 |
| 56.41 | 24.7 |
| 60.61 | 16.5 |

Structure:
```
Tb6Nd12Mg
1.0
6.6091 3.8158 4.3605
-6.6091 3.8158 4.3605
0.0000 -7.6315 4.3605
Tb Nd Mg
6 12 1
Direct
0.0936 0.3637 0.3629
0.3629 0.0936 0.3637
0.3637 0.3629 0.0936
0.6363 0.6371 0.9064
0.6371 0.9064 0.6363
0.9064 0.6363 0.6371
0.0815 0.0817 0.6698
0.0817 0.6698 0.0815
0.2392 0.4996 0.7608
0.2392 0.7608 0.5004
0.3302 0.9185 0.9183
0.5004 0.2392 0.7608
0.4996 0.7608 0.2392
0.6698 0.0815 0.0817
0.7608 0.2392 0.4996
0.7608 0.5004 0.2392
0.9183 0.3302 0.9185
0.9185 0.9183 0.3302
0.5000 0.5000 0.5000
```

***

(8)
Theoretical X-ray diffraction stick pattern
Compound: Tb2Nd5Mg
Radiation: Cu Kα, 1.54184 Å
Structure: a DFT-relaxed cell (PBE, Alexandria)
Lines closer than 0.1° are merged.

The 10 most intense peaks (2θ from 10° to 80°), by angle:
| 2θ (°) | Rel. int. |
| --- | --- |
| 28.31 | 20.0 |
| 28.41 | 9.5 |
| 30.93 | 29.9 |
| 32.36 | 100.0 |
| 32.44 | 20.2 |
| 42.44 | 19.5 |
| 50.24 | 15.4 |
| 55.93 | 24.7 |
| 60.17 | 17.7 |
| 60.92 | 12.9 |

Structure:
```
Tb2Nd5Mg
1.0
11.5660 0.0000 0.0000
0.0000 7.2887 0.0000
-5.7795 0.0000 6.2832
Tb Nd Mg
4 10 2
Direct
0.0000 0.0000 0.0000
0.0962 0.0000 0.6782
0.5000 0.5000 0.0000
0.5962 0.5000 0.6782
0.0814 0.5000 0.6829
0.2569 0.2618 0.5143
0.2569 0.7382 0.5143
0.3364 0.2493 0.1745
0.3364 0.7507 0.1745
0.5814 0.0000 0.6829
0.7569 0.2382 0.5143
0.7569 0.7618 0.5143
0.8364 0.2507 0.1745
0.8364 0.7493 0.1745
0.0031 0.5000 0.0117
0.5031 0.0000 0.0117
```

***

(9)
Theoretical X-ray diffraction stick pattern
Compound: Tb2Nd2Mg3
Radiation: Cu Kα, 1.54184 Å
Structure: a DFT-relaxed cell (PBE, Alexandria)
Lines closer than 0.1° are merged.

The 10 most intense peaks (2θ from 10° to 80°), by angle:
| 2θ (°) | Rel. int. |
| --- | --- |
| 10.27 | 53.6 |
| 13.64 | 37.0 |
| 28.94 | 74.6 |
| 29.11 | 100.0 |
| 29.94 | 36.2 |
| 31.16 | 46.3 |
| 31.34 | 64.1 |
| 31.86 | 95.3 |
| 32.31 | 60.9 |
| 35.31 | 34.4 |

Structure:
```
Tb2Nd2Mg3
1.0
3.5754 0.0000 0.0000
1.7786 6.8199 0.0000
1.7767 2.7691 8.6107
Tb Nd Mg
2 2 3
Direct
0.1126 0.2321 0.0390
0.8874 0.7679 0.9610
0.3700 0.4443 0.3130
0.6300 0.5557 0.6870
0.0000 0.0000 0.5000
0.3337 0.1275 0.7118
0.6663 0.8725 0.2882
```

***

(10)
Theoretical X-ray diffraction stick pattern
Compound: TbNd6Mg5
Radiation: Cu Kα, 1.54184 Å
Structure: a DFT-relaxed cell (PBE, Alexandria)
Lines closer than 0.1° are merged.

The 10 most intense peaks (2θ from 10° to 80°), by angle:
| 2θ (°) | Rel. int. |
| --- | --- |
| 22.67 | 36.9 |
| 32.12 | 20.2 |
| 32.31 | 100.0 |
| 46.25 | 14.6 |
| 52.24 | 7.7 |
| 57.37 | 15.0 |
| 57.55 | 7.4 |
| 57.70 | 22.6 |
| 67.59 | 9.1 |
| 77.01 | 9.3 |

Structure:
```
TbNd6Mg5
1.0
5.5316 0.0000 0.0000
0.0000 7.8276 0.0000
-2.7608 0.0000 8.3599
Tb Nd Mg
1 6 5
Direct
0.0000 0.0000 0.0000
0.1684 0.2525 0.3411
0.1684 0.7475 0.3411
0.5000 0.2617 0.0000
0.5000 0.7383 0.0000
0.8316 0.2525 0.6589
0.8316 0.7475 0.6589
0.0000 0.5000 0.0000
0.3360 0.5000 0.6659
0.3411 0.0000 0.6773
0.6589 0.0000 0.3227
0.6640 0.5000 0.3341
```

***

(11)
Theoretical X-ray diffraction stick pattern
Compound: Tb8Nd6Mg
Radiation: Cu Kα, 1.54184 Å
Structure: a DFT-relaxed cell (PBE, Alexandria)
Lines closer than 0.1° are merged.

The 10 most intense peaks (2θ from 10° to 80°), by angle:
| 2θ (°) | Rel. int. |
| --- | --- |
| 25.73 | 9.3 |
| 27.97 | 16.5 |
| 28.65 | 25.6 |
| 30.04 | 11.6 |
| 31.97 | 100.0 |
| 33.83 | 21.5 |
| 40.47 | 12.2 |
| 50.75 | 16.4 |
| 58.95 | 11.7 |
| 61.26 | 19.4 |

Structure:
```
Tb8Nd6Mg
1.0
9.5190 0.0000 0.0000
-4.7595 8.2437 0.0000
0.0000 0.0000 6.3804
Tb Nd Mg
8 6 1
Direct
0.0382 0.2655 0.1862
0.2273 0.9618 0.1862
0.2655 0.2273 0.8138
0.3333 0.6667 0.1627
0.6667 0.3333 0.8373
0.7345 0.7727 0.1862
0.7727 0.0382 0.8138
0.9618 0.7345 0.8138
0.0893 0.4491 0.6835
0.3598 0.9107 0.6835
0.4491 0.3598 0.3165
0.5509 0.6402 0.6835
0.6402 0.0893 0.3165
0.9107 0.5509 0.3165
0.0000 0.0000 0.5000
```

***

(12)
Theoretical X-ray diffraction stick pattern
Compound: Tb3Nd2Mg3
Radiation: Cu Kα, 1.54184 Å
Structure: a DFT-relaxed cell (PBE, Alexandria)
Lines closer than 0.1° are merged.

The 10 most intense peaks (2θ from 10° to 80°), by angle:
| 2θ (°) | Rel. int. |
| --- | --- |
| 20.07 | 12.6 |
| 23.50 | 21.0 |
| 25.57 | 30.9 |
| 31.67 | 22.3 |
| 32.61 | 100.0 |
| 32.77 | 26.3 |
| 43.04 | 11.5 |
| 46.22 | 15.7 |
| 57.01 | 12.1 |
| 58.40 | 20.3 |

Structure:
```
Tb3Nd2Mg3
1.0
3.8395 0.0000 0.0000
0.0000 5.4650 0.0000
0.0000 0.0000 22.6017
Tb Nd Mg
6 4 6
Direct
0.0000 0.0000 0.0000
0.0000 0.5000 0.1217
0.0000 0.5000 0.8783
0.5000 0.0000 0.3783
0.5000 0.0000 0.6217
0.5000 0.5000 0.5000
0.0000 0.0000 0.2340
0.0000 0.0000 0.7660
0.5000 0.5000 0.2660
0.5000 0.5000 0.7340
0.0000 0.0000 0.5000
0.0000 0.5000 0.3855
0.0000 0.5000 0.6145
0.5000 0.0000 0.1145
0.5000 0.0000 0.8855
0.5000 0.5000 0.0000
```